[1]
Structure and simulated powder diffraction line list of CaPr2BeO5 (a DFT-relaxed cell (PBE, the Materials Project); copper Kα).
Neutral-atom scattering factors, no anomalous dispersion.

Unit cell a=9.579 b=6.566 c=7.252 alpha=90.00 beta=90.00 gamma=90.00
Sites, in units of the cell vectors:
Ca 0.176 0.078 0.000
Ca 0.324 0.578 0.500
Ca 0.676 0.422 0.000
Ca 0.824 0.922 0.500
Pr 0.024 0.598 0.767
Pr 0.172 0.074 0.548
Pr 0.328 0.574 0.048
Pr 0.476 0.098 0.267
Pr 0.524 0.902 0.767
Pr 0.672 0.426 0.548
Pr 0.828 0.926 0.048
Pr 0.976 0.402 0.267
Be 0.104 0.807 0.269
Be 0.396 0.307 0.769
Be 0.604 0.693 0.269
Be 0.896 0.193 0.769
O 0.012 0.019 0.271
O 0.071 0.689 0.079
O 0.074 0.693 0.462
O 0.223 0.360 0.771
O 0.227 0.334 0.270
O 0.273 0.834 0.770
O 0.277 0.860 0.271
O 0.426 0.193 0.962
O 0.429 0.189 0.579
O 0.488 0.519 0.771
O 0.512 0.481 0.271
O 0.571 0.811 0.079
O 0.574 0.807 0.462
O 0.723 0.140 0.771
O 0.727 0.166 0.270
O 0.773 0.666 0.770
O 0.777 0.640 0.271
O 0.926 0.307 0.962
O 0.929 0.311 0.579
O 0.988 0.981 0.771

Top 8 peaks for 2θ from 10° to 80°, in order of rising 2θ:
| d [Å] | Position (°2θ) | I (rel.) |
| --- | --- | --- |
| 4.339 | 20.47 | 536 |
| 3.997 | 22.24 | 351 |
| 3.013 | 29.65 | 1000 |
| 2.891 | 30.93 | 702 |
| 2.871 | 31.15 | 995 |
| 2.855 | 31.33 | 640 |
| 2.359 | 38.15 | 405 |
| 2.250 | 40.07 | 357 |

[2]
Structure and simulated powder diffraction line list of Ca2PrBeO5 (a DFT-relaxed cell (PBE, the Materials Project); copper Kα).
Neutral-atom scattering factors, no anomalous dispersion.

Unit cell a=9.410 b=7.275 c=6.487 alpha=90.00 beta=90.00 gamma=90.00
Sites, in units of the cell vectors:
Ca 0.174 0.028 0.080
Ca 0.174 0.472 0.080
Ca 0.326 0.528 0.580
Ca 0.326 0.972 0.580
Ca 0.674 0.028 0.420
Ca 0.674 0.472 0.420
Ca 0.826 0.528 0.920
Ca 0.826 0.972 0.920
Pr 0.028 0.250 0.599
Pr 0.472 0.750 0.099
Pr 0.528 0.250 0.901
Pr 0.972 0.750 0.401
Be 0.106 0.750 0.811
Be 0.394 0.250 0.311
Be 0.606 0.750 0.689
Be 0.894 0.250 0.189
O 0.013 0.750 0.025
O 0.072 0.562 0.689
O 0.072 0.938 0.689
O 0.223 0.250 0.362
O 0.230 0.750 0.329
O 0.270 0.250 0.829
O 0.277 0.750 0.862
O 0.428 0.062 0.189
O 0.428 0.438 0.189
O 0.487 0.250 0.525
O 0.513 0.750 0.475
O 0.572 0.562 0.811
O 0.572 0.938 0.811
O 0.723 0.250 0.138
O 0.730 0.750 0.171
O 0.770 0.250 0.671
O 0.777 0.750 0.638
O 0.928 0.062 0.311
O 0.928 0.438 0.311
O 0.987 0.250 0.975

Top 8 peaks for 2θ from 10° to 80°, in order of rising 2θ:
| d [Å] | Position (°2θ) | I (rel.) |
| --- | --- | --- |
| 5.341 | 16.60 | 454 |
| 4.705 | 18.86 | 261 |
| 3.374 | 26.41 | 306 |
| 3.006 | 29.72 | 629 |
| 2.878 | 31.08 | 423 |
| 2.825 | 31.67 | 1000 |
| 2.153 | 41.96 | 340 |
| 1.897 | 47.96 | 267 |

[3]
Structure and simulated powder diffraction line list of Ca2YBeO5 (a DFT-relaxed cell (PBE, the Materials Project); copper Kα).
Neutral-atom scattering factors, no anomalous dispersion.

Unit cell a=9.220 b=7.114 c=6.378 alpha=90.00 beta=90.00 gamma=90.00
Sites, in units of the cell vectors:
Ca 0.174 0.024 0.088
Ca 0.174 0.476 0.088
Ca 0.326 0.524 0.588
Ca 0.326 0.976 0.588
Ca 0.674 0.024 0.412
Ca 0.674 0.476 0.412
Ca 0.826 0.524 0.912
Ca 0.826 0.976 0.912
Y 0.028 0.250 0.596
Y 0.472 0.750 0.096
Y 0.528 0.250 0.904
Y 0.972 0.750 0.404
Be 0.104 0.750 0.810
Be 0.396 0.250 0.310
Be 0.604 0.750 0.690
Be 0.896 0.250 0.190
O 0.010 0.750 0.032
O 0.067 0.558 0.686
O 0.067 0.942 0.686
O 0.223 0.250 0.369
O 0.223 0.750 0.326
O 0.277 0.250 0.826
O 0.277 0.750 0.869
O 0.433 0.058 0.186
O 0.433 0.442 0.186
O 0.490 0.250 0.532
O 0.510 0.750 0.468
O 0.567 0.558 0.814
O 0.567 0.942 0.814
O 0.723 0.250 0.131
O 0.723 0.750 0.174
O 0.777 0.250 0.674
O 0.777 0.750 0.631
O 0.933 0.058 0.314
O 0.933 0.442 0.314
O 0.990 0.250 0.968

Top 8 peaks for 2θ from 10° to 80°, in order of rising 2θ:
| d [Å] | Position (°2θ) | I (rel.) |
| --- | --- | --- |
| 2.944 | 30.36 | 616 |
| 2.816 | 31.78 | 426 |
| 2.772 | 32.30 | 1000 |
| 2.300 | 39.16 | 409 |
| 2.168 | 41.66 | 289 |
| 2.111 | 42.83 | 361 |
| 1.934 | 46.99 | 267 |
| 1.863 | 48.88 | 469 |

[4]
Structure and simulated powder diffraction line list of CaBe2P2 (a DFT-relaxed cell (PBE, the Materials Project); copper Kα).
Neutral-atom scattering factors, no anomalous dispersion.

Unit cell a=3.744 b=3.744 c=6.616 alpha=90.00 beta=90.00 gamma=120.00
Sites, in units of the cell vectors:
Ca 0.000 0.000 0.000
Be 0.333 0.667 0.376
Be 0.667 0.333 0.624
P 0.333 0.667 0.715
P 0.667 0.333 0.285

Top 8 peaks for 2θ from 10° to 80°, in order of rising 2θ:
| d [Å] | Position (°2θ) | I (rel.) |
| --- | --- | --- |
| 2.912 | 30.71 | 1000 |
| 2.316 | 38.89 | 518 |
| 2.205 | 40.92 | 114 |
| 1.872 | 48.64 | 340 |
| 1.824 | 50.02 | 131 |
| 1.575 | 58.63 | 135 |
| 1.427 | 65.39 | 155 |
| 1.205 | 79.55 | 108 |

[5]
Structure and simulated powder diffraction line list of Be3Cd4Si3TeO12 (a DFT-relaxed cell (PBE, the Materials Project); copper Kα).
Neutral-atom scattering factors, no anomalous dispersion.

Unit cell a=8.684 b=8.684 c=8.684 alpha=90.00 beta=90.00 gamma=90.00
Sites, in units of the cell vectors:
Be 0.000 0.250 0.500
Be 0.000 0.750 0.500
Be 0.250 0.500 0.000
Be 0.500 0.000 0.250
Be 0.500 0.000 0.750
Be 0.750 0.500 0.000
Cd 0.185 0.185 0.185
Cd 0.185 0.815 0.815
Cd 0.315 0.315 0.685
Cd 0.315 0.685 0.315
Cd 0.685 0.315 0.315
Cd 0.685 0.685 0.685
Cd 0.815 0.185 0.815
Cd 0.815 0.815 0.185
Si 0.000 0.500 0.250
Si 0.000 0.500 0.750
Si 0.250 0.000 0.500
Si 0.500 0.250 0.000
Si 0.500 0.750 0.000
Si 0.750 0.000 0.500
Te 0.000 0.000 0.000
Te 0.500 0.500 0.500
O 0.062 0.354 0.646
O 0.062 0.646 0.354
O 0.146 0.146 0.438
O 0.146 0.438 0.146
O 0.146 0.562 0.854
O 0.146 0.854 0.562
O 0.354 0.062 0.646
O 0.354 0.354 0.938
O 0.354 0.646 0.062
O 0.354 0.938 0.354
O 0.438 0.146 0.146
O 0.438 0.854 0.854
O 0.562 0.146 0.854
O 0.562 0.854 0.146
O 0.646 0.062 0.354
O 0.646 0.354 0.062
O 0.646 0.646 0.938
O 0.646 0.938 0.646
O 0.854 0.146 0.562
O 0.854 0.438 0.854
O 0.854 0.562 0.146
O 0.854 0.854 0.438
O 0.938 0.354 0.354
O 0.938 0.646 0.646

Top 8 peaks for 2θ from 10° to 80°, in order of rising 2θ:
| d [Å] | Position (°2θ) | I (rel.) |
| --- | --- | --- |
| 6.141 | 14.42 | 171 |
| 3.545 | 25.12 | 1000 |
| 3.070 | 29.08 | 250 |
| 2.321 | 38.80 | 355 |
| 2.047 | 44.25 | 781 |
| 1.703 | 53.83 | 110 |
| 1.447 | 64.37 | 156 |
| 1.409 | 66.35 | 247 |